Record 1
Simulated powder X-ray diffraction pattern of CoAg2PdF6 for Cu Kα (λ = 1.5418 Å), from a structure optimized by DFT (GGA+U).
Peak positions follow from Bragg's law for the DFT cell and can differ from measured ones.

Cell and atoms:
```
CoAg2PdF6
1.0
4.9415 0.0000 0.0000
0.0891 5.5308 0.0000
1.6050 2.6234 5.1459
Co Ag Pd F
1 2 1 6
direct
0.0000 0.0000 0.0000 Co
0.2658 0.7189 0.5433 Ag
0.7342 0.2811 0.4567 Ag
0.5000 0.5000 0.0000 Pd
0.1412 0.6113 0.1659 F
0.2520 0.1223 0.6419 F
0.2861 0.1415 0.1169 F
0.7139 0.8585 0.8831 F
0.7480 0.8777 0.3581 F
0.8588 0.3887 0.8341 F
```

Largest 10 diffraction maxima, most intense first, 2θ = 10–80°:
28.45°, I = 100, hkl -1 1 1
27.65°, I = 86, hkl 1 1 0
31.98°, I = 72, hkl 1 1 2
32.39°, I = 68, hkl 0 2 1
31.70°, I = 68, hkl 1 -1 1
34.87°, I = 49, hkl 0 0 2
36.95°, I = 43, hkl 2 0 1
34.51°, I = 39, hkl 1 0 2
46.71°, I = 35, hkl 2 0 -1
49.64°, I = 33, hkl 2 2 2

Record 2
Simulated powder X-ray diffraction pattern of MnP2H6O5 for Cu Kα (λ = 1.5418 Å), from a structure optimized by DFT (GGA+U).
Peak positions follow from Bragg's law for the DFT cell and can differ from measured ones.

Cell and atoms:
```
MnP2H6O5
1.0
7.8015 0.0000 0.0000
0.0000 7.9527 0.0000
-2.5747 0.0000 10.4104
Mn P H O
4 8 24 20
direct
0.1983 0.0461 0.1025 Mn
0.1983 0.4539 0.6025 Mn
0.8017 0.5461 0.3975 Mn
0.8017 0.9539 0.8975 Mn
0.0250 0.1975 0.3416 P
0.0250 0.3025 0.8416 P
0.4627 0.1143 0.6800 P
0.4627 0.3857 0.1800 P
0.5373 0.6143 0.8200 P
0.5373 0.8857 0.3200 P
0.9750 0.6975 0.1584 P
0.9750 0.8025 0.6584 P
0.1357 0.6144 0.1592 H
0.1357 0.8856 0.6592 H
0.1576 0.0902 0.4127 H
0.1576 0.4098 0.9127 H
0.1850 0.6870 0.4135 H
0.1850 0.8130 0.9135 H
0.3788 0.5195 0.1005 H
0.3788 0.9805 0.6005 H
0.3806 0.1126 0.7846 H
0.3806 0.3874 0.2846 H
0.3943 0.6658 0.4523 H
0.3943 0.8342 0.9523 H
0.6057 0.1658 0.0477 H
0.6057 0.3342 0.5477 H
0.6194 0.6126 0.7154 H
0.6194 0.8874 0.2154 H
0.6212 0.0195 0.3995 H
0.6212 0.4805 0.8995 H
0.8150 0.1870 0.0865 H
0.8150 0.3130 0.5865 H
0.8424 0.5902 0.0873 H
0.8424 0.9098 0.5873 H
0.8643 0.1144 0.3408 H
0.8643 0.3856 0.8408 H
0.0290 0.1386 0.9179 O
0.0290 0.3614 0.4179 O
0.0449 0.2112 0.2037 O
0.0449 0.2888 0.7037 O
0.2852 0.6493 0.4829 O
0.2852 0.8507 0.9829 O
0.3415 0.5764 0.7741 O
0.3415 0.9236 0.2741 O
0.4158 0.2201 0.1060 O
0.4158 0.2799 0.6060 O
0.5842 0.7201 0.3940 O
0.5842 0.7799 0.8940 O
0.6585 0.0764 0.7259 O
0.6585 0.4236 0.2259 O
0.7148 0.1493 0.0171 O
0.7148 0.3507 0.5171 O
0.9551 0.7112 0.2963 O
0.9551 0.7888 0.7963 O
0.9710 0.6386 0.5821 O
0.9710 0.8614 0.0821 O
```

Largest 10 diffraction maxima, most intense first, 2θ = 10–80°:
16.91°, I = 100, hkl 1 1 -1
14.01°, I = 86, hkl 0 1 1
25.56°, I = 60, hkl 1 1 2
18.22°, I = 38, hkl 1 0 -2
28.99°, I = 37, hkl 1 2 -2
21.39°, I = 33, hkl 1 1 -2
27.64°, I = 30, hkl 1 2 1
32.66°, I = 30, hkl 2 2 0
29.21°, I = 26, hkl 2 1 1
32.54°, I = 21, hkl 2 1 -3